(1)
This entry pairs a crystal structure of HgH with its computed XRD peak list. Radiation: Cu Kα. Structure: the GGA-PBE geometry in Alexandria.
Peak positions follow from Bragg's law for the DFT cell and can differ from measured ones.

The 10 most intense peaks (10° ≤ 2θ ≤ 90°), low angle first:
(0 0 8), 2θ = 19.80°, d = 4.483 Å, I = 36; (0 0 12), 2θ = 29.90°, d = 2.989 Å, I = 57; (0 2 2), 2θ = 30.46°, d = 2.935 Å, I = 26; (1 1 1), 2θ = 30.67°, d = 2.915 Å, I = 26; (1 1 3), 2θ = 31.49°, d = 2.841 Å, I = 100; (1 1 5), 2θ = 33.07°, d = 2.708 Å, I = 21; (0 2 6), 2θ = 33.65°, d = 2.664 Å, I = 85; (1 1 9), 2θ = 38.17°, d = 2.358 Å, I = 60; (1 1 15), 2θ = 49.22°, d = 1.851 Å, I = 29; (1 3 3), 2θ = 54.25°, d = 1.691 Å, I = 22

Cell: 3.3588 5.9504 35.8646 Å, 90.00 90.00 90.00°
Space group Fddd (No. 70, origin choice 2)
Unique sites:
1 Hg 0.1250 0.1250 0.2917 [16 per cell]
2 H 0.0130 0.1250 0.6250 [16 per cell]



(2)
This entry pairs a crystal structure of HgH2I5 with its computed XRD peak list. Radiation: Cu Kα. Structure: the GGA-PBE geometry in Alexandria.
Peak positions follow from Bragg's law for the DFT cell and can differ from measured ones.

The 10 most intense peaks (10° ≤ 2θ ≤ 90°), low angle first:
(0 1 0), 2θ = 13.72°, d = 6.456 Å, I = 41; (0 1 1), 2θ = 15.49°, d = 5.720 Å, I = 39; (1 0 1), 2θ = 16.16°, d = 5.484 Å, I = 52; (1 1 0), 2θ = 17.11°, d = 5.183 Å, I = 47; (0 1 2), 2θ = 22.71°, d = 3.916 Å, I = 100; (1 1 -1), 2θ = 23.01°, d = 3.865 Å, I = 44; (0 2 1), 2θ = 27.51°, d = 3.242 Å, I = 52; (2 1 0), 2θ = 28.95°, d = 3.085 Å, I = 59; (0 2 -2), 2θ = 38.40°, d = 2.344 Å, I = 35; (2 0 -2), 2θ = 40.08°, d = 2.250 Å, I = 31

Cell: 6.5549 6.9870 8.9753 Å, 73.95 73.83 70.70°
Space group P1 (No. 1)
Unique sites:
1 Hg 0.0000 0.0000 0.0000 [1 per cell]
2 H 0.3887 0.9887 0.5754 [1 per cell]
3 H 0.9534 0.4095 0.2014 [1 per cell]
4 I 0.1971 0.6130 0.1373 [1 per cell]
5 I 0.2845 0.2518 0.7640 [1 per cell]
6 I 0.4270 0.8400 0.4491 [1 per cell]
7 I 0.7683 0.2528 0.7651 [1 per cell]
8 I 0.7955 0.2392 0.2706 [1 per cell]



(3)
This entry pairs a crystal structure of HgHI2 with its computed XRD peak list. Radiation: Cu Kα. Structure: the GGA-PBE geometry in Alexandria.
Peak positions follow from Bragg's law for the DFT cell and can differ from measured ones.

The 10 most intense peaks (10° ≤ 2θ ≤ 90°), low angle first:
(1 0 0), 2θ = 12.29°, d = 7.199 Å, I = 100; (1 1 -1), 2θ = 15.77°, d = 5.619 Å, I = 56; (1 1 1), 2θ = 21.47°, d = 4.139 Å, I = 46; (0 2 0), 2θ = 23.11°, d = 3.849 Å, I = 79; (0 2 1), 2θ = 24.57°, d = 3.622 Å, I = 37; (2 0 0), 2θ = 24.73°, d = 3.600 Å, I = 94; (2 1 -3), 2θ = 27.30°, d = 3.266 Å, I = 34; (2 0 -4), 2θ = 29.90°, d = 2.988 Å, I = 38; (2 2 0), 2θ = 34.10°, d = 2.629 Å, I = 47; (0 1 5), 2θ = 44.19°, d = 2.049 Å, I = 34

Cell: 8.3733 7.6987 12.3642 Å, 90.00 120.71 90.00°
Space group P2/c (No. 13)
Unique sites:
1 Hg 0.0005 0.1624 0.1429 [4 per cell]
2 H 0.3854 0.2427 0.9719 [4 per cell]
3 I 0.0578 0.2469 0.9475 [4 per cell]
4 I 0.4629 0.2540 0.5765 [4 per cell]